Entry 1:
The following is a simulated XRD peak list of Tb8Pm3Sm. It was derived from a DFT-relaxed cell (PBE, Alexandria), using Cu Kα, 1.54184 Å.
Lines closer than 0.1° are merged.

Atomic structure:
```
data_Tb8Pm3Sm
_chemical_formula_sum 'Tb16 Pm6 Sm2'
_symmetry_space_group_name_H-M 'I m m m'
_symmetry_Int_Tables_number 71
_symmetry_space_group_name_Hall '-I 2 2'
_cell_length_a 6.4800
_cell_length_b 11.3672
_cell_length_c 11.5047
_cell_angle_alpha 90.00
_cell_angle_beta 90.00
_cell_angle_gamma 90.00
loop_
_atom_site_label
_atom_site_type_symbol
_atom_site_fract_x
_atom_site_fract_y
_atom_site_fract_z
Tb1 Tb 0.0000 0.1688 0.2499
Tb2 Tb 0.2504 0.2493 0.0000
Pm1 Pm 0.0000 0.0000 0.5000
Pm2 Pm 0.0000 0.5000 0.2503
Sm1 Sm 0.0000 0.0000 0.0000
```

Largest 8 diffraction maxima, sorted by position, 2θ = 10–90°:
| index | 2θ (°) | I (rel.) |
| --- | --- | --- |
| 0 0 4 | 31.09 | 52 |
| 1 3 2 | 31.47 | 100 |
| 2 0 2 | 31.73 | 68 |
| 2 2 2 | 35.51 | 39 |
| 2 2 4 | 45.07 | 19 |
| 3 3 2 | 51.21 | 22 |
| 2 6 0 | 56.25 | 19 |
| 2 6 4 | 65.68 | 26 |

Entry 2:
The following is a simulated XRD peak list of TbPm2Sm9. It was derived from a DFT-relaxed cell (PBE, Alexandria), using Cu Kα, 1.54184 Å.
Lines closer than 0.1° are merged.

Atomic structure:
```
data_TbPm2Sm9
_chemical_formula_sum 'Tb1 Pm2 Sm9'
_symmetry_space_group_name_H-M 'P 4/m m m'
_symmetry_Int_Tables_number 123
_symmetry_space_group_name_Hall '-P 4 2'
_cell_length_a 5.1252
_cell_length_b 5.1252
_cell_length_c 15.3705
_cell_angle_alpha 90.00
_cell_angle_beta 90.00
_cell_angle_gamma 90.00
loop_
_atom_site_label
_atom_site_type_symbol
_atom_site_fract_x
_atom_site_fract_y
_atom_site_fract_z
Tb1 Tb 0.0000 0.0000 0.0000
Pm1 Pm 0.0000 0.0000 0.3328
Sm1 Sm 0.0000 0.5000 0.1656
Sm2 Sm 0.0000 0.5000 0.5000
Sm3 Sm 0.5000 0.5000 0.0000
Sm4 Sm 0.5000 0.5000 0.3328
```

Largest 8 diffraction maxima, sorted by position, 2θ = 10–90°:
| index | 2θ (°) | I (rel.) |
| --- | --- | --- |
| 1 1 3 | 30.21 | 100 |
| 2 0 0 | 35.02 | 51 |
| 2 2 0 | 50.36 | 36 |
| 3 1 3 | 59.86 | 43 |
| 2 2 6 | 62.82 | 12 |
| 4 0 0 | 73.99 | 6 |
| 3 3 3 | 81.95 | 18 |
| 4 2 0 | 84.56 | 16 |

Entry 3:
The following is a simulated XRD peak list of TbPm6Sm2. It was derived from a DFT-relaxed cell (PBE, Alexandria), using Cu Kα, 1.54184 Å.
Lines closer than 0.1° are merged.

Atomic structure:
```
data_TbPm6Sm2
_chemical_formula_sum 'Tb2 Pm12 Sm4'
_symmetry_space_group_name_H-M 'C m m m'
_symmetry_Int_Tables_number 65
_symmetry_space_group_name_Hall '-C 2 2'
_cell_length_a 9.4591
_cell_length_b 17.8467
_cell_length_c 3.6555
_cell_angle_alpha 90.00
_cell_angle_beta 90.00
_cell_angle_gamma 90.00
loop_
_atom_site_label
_atom_site_type_symbol
_atom_site_fract_x
_atom_site_fract_y
_atom_site_fract_z
Tb1 Tb 0.0000 0.0000 0.0000
Pm1 Pm 0.1761 0.3361 0.0000
Pm2 Pm 0.1831 0.5000 0.5000
Sm1 Sm 0.0000 0.1790 0.5000
```

Largest 8 diffraction maxima, sorted by position, 2θ = 10–90°:
| index | 2θ (°) | I (rel.) |
| --- | --- | --- |
| 3 1 0 | 28.75 | 61 |
| 0 6 0 | 30.04 | 62 |
| 1 3 1 | 30.21 | 100 |
| 2 2 1 | 32.54 | 59 |
| 2 4 1 | 37.04 | 32 |
| 3 5 0 | 38.08 | 34 |
| 5 3 1 | 56.95 | 31 |
| 6 0 0 | 58.59 | 25 |

Entry 4:
The following is a simulated XRD peak list of Tb2Pm6Sm3. It was derived from a DFT-relaxed cell (PBE, Alexandria), using Cu Kα, 1.54184 Å.
Lines closer than 0.1° are merged.

Atomic structure:
```
data_Tb2Pm6Sm3
_chemical_formula_sum 'Tb6 Pm18 Sm9'
_symmetry_space_group_name_H-M 'R -3 m'
_symmetry_Int_Tables_number 166
_symmetry_space_group_name_Hall '-R 3 2"'
_cell_length_a 3.6262
_cell_length_b 3.6262
_cell_length_c 97.6709
_cell_angle_alpha 90.00
_cell_angle_beta 90.00
_cell_angle_gamma 120.00
loop_
_atom_site_label
_atom_site_type_symbol
_atom_site_fract_x
_atom_site_fract_y
_atom_site_fract_z
Tb1 Tb 0.0000 0.0000 0.0453
Pm1 Pm 0.0000 0.0000 0.1362
Pm2 Pm 0.0000 0.0000 0.3180
Pm3 Pm 0.0000 0.0000 0.4086
Sm1 Sm 0.0000 0.0000 0.2275
Sm2 Sm 0.0000 0.0000 0.5000
```

Largest 8 diffraction maxima, sorted by position, 2θ = 10–90°:
| index | 2θ (°) | I (rel.) |
| --- | --- | --- |
| 0 1 11 | 30.19 | 100 |
| 1 0 22 | 35.00 | 51 |
| 1 1 0 | 50.33 | 36 |
| 2 0 11 | 59.82 | 43 |
| 0 2 22 | 62.77 | 12 |
| 2 0 44 | 73.94 | 6 |
| 1 2 11 | 81.89 | 18 |
| 2 1 22 | 84.50 | 16 |

Entry 5:
The following is a simulated XRD peak list of Tb12Pm7Sm. It was derived from a DFT-relaxed cell (PBE, Alexandria), using Cu Kα, 1.54184 Å.
Lines closer than 0.1° are merged.

Atomic structure:
```
data_Tb12Pm7Sm
_chemical_formula_sum 'Tb36 Pm21 Sm3'
_symmetry_space_group_name_H-M 'R -3'
_symmetry_Int_Tables_number 148
_symmetry_space_group_name_Hall '-R 3'
_cell_length_a 12.0440
_cell_length_b 12.0440
_cell_length_c 16.2170
_cell_angle_alpha 90.00
_cell_angle_beta 90.00
_cell_angle_gamma 120.00
loop_
_atom_site_label
_atom_site_type_symbol
_atom_site_fract_x
_atom_site_fract_y
_atom_site_fract_z
Tb1 Tb 0.0225 0.4480 0.2227
Tb2 Tb 0.0507 0.5871 0.5824
Pm1 Pm 0.0000 0.0000 0.0000
Pm2 Pm 0.0551 0.1886 0.2904
Sm1 Sm 0.0000 0.0000 0.5000
```

Largest 8 diffraction maxima, sorted by position, 2θ = 10–90°:
| index | 2θ (°) | I (rel.) |
| --- | --- | --- |
| 0 2 4 | 27.87 | 17 |
| 0 1 5 | 28.83 | 26 |
| 0 3 3 | 30.57 | 38 |
| 4 -3 1 | 31.41 | 100 |
| 3 -1 4 | 31.66 | 46 |
| 2 0 5 | 32.51 | 20 |
| 3 1 2 | 32.87 | 53 |
| 2 5 0 | 54.98 | 17 |

Entry 6:
The following is a simulated XRD peak list of TbPm2Sm5. It was derived from a DFT-relaxed cell (PBE, Alexandria), using Cu Kα, 1.54184 Å.
Lines closer than 0.1° are merged.

Atomic structure:
```
data_TbPm2Sm5
_chemical_formula_sum 'Tb2 Pm4 Sm10'
_symmetry_space_group_name_H-M 'P -1'
_symmetry_Int_Tables_number 2
_symmetry_space_group_name_Hall '-P 1'
_cell_length_a 6.9077
_cell_length_b 8.6238
_cell_length_c 9.7096
_cell_angle_alpha 76.07
_cell_angle_beta 84.24
_cell_angle_gamma 76.38
loop_
_atom_site_label
_atom_site_type_symbol
_atom_site_fract_x
_atom_site_fract_y
_atom_site_fract_z
Tb1 Tb 0.1981 0.0524 0.2607
Pm1 Pm 0.0723 0.1758 0.8856
Pm2 Pm 0.3236 0.9260 0.6355
Sm1 Sm 0.0510 0.6994 0.4896
Sm2 Sm 0.1779 0.5733 0.8644
Sm3 Sm 0.3000 0.4487 0.2397
Sm4 Sm 0.4273 0.3232 0.6146
Sm5 Sm 0.4490 0.8024 0.0103
```

Largest 8 diffraction maxima, sorted by position, 2θ = 10–90°:
| index | 2θ (°) | I (rel.) |
| --- | --- | --- |
| -1 2 1 | 28.09 | 24 |
| 2 2 0 | 30.57 | 25 |
| 0 2 -2 | 32.07 | 100 |
| 2 -3 1 | 49.74 | 13 |
| 4 2 2 | 55.26 | 11 |
| 2 4 -2 | 55.32 | 11 |
| 3 2 5 | 59.47 | 15 |
| -3 3 2 | 60.38 | 14 |